1.
Cs2TlHgCl5: simulated X-ray powder pattern (a wavelength of 1.5418 Å), based on a DFT-relaxed cell (GGA-PBE, Alexandria).
Lines closer than 0.1° are merged.

Unit cell a=5.302 b=5.302 c=11.766 alpha=90.00 beta=90.00 gamma=90.00
Element x y z (fractional)
Cs1 0.000 0.000 0.213
Cs2 0.000 0.000 0.787
Tl1 0.500 0.500 0.500
Hg1 0.500 0.500 0.000
Cl1 0.000 0.000 0.500
Cl2 0.000 0.500 0.000
Cl3 0.500 0.000 0.000
Cl4 0.500 0.500 0.234
Cl5 0.500 0.500 0.766

Peak list (10 most intense, 2θ = 10–90°, low angle first)
two_theta	d/Å	I/Imax
22.6	3.938	100.0
23.7	3.749	79.0
30.4	2.941	23.3
33.8	2.651	46.5
38.9	2.314	30.5
41.0	2.199	45.4
46.1	1.969	28.6
48.6	1.875	16.3
54.7	1.677	16.1
63.9	1.457	14.3


2.
TlGa2Se3: simulated X-ray powder pattern (a wavelength of 1.5418 Å), based on a DFT-relaxed cell (GGA-PBE, Alexandria).
Lines closer than 0.1° are merged.

Unit cell a=11.666 b=11.666 c=7.396 alpha=104.96 beta=104.96 gamma=22.40
Element x y z (fractional)
Tl1 0.141 0.141 0.423
Tl2 0.859 0.859 0.577
Ga1 0.199 0.199 0.014
Ga2 0.441 0.441 0.091
Ga3 0.559 0.559 0.909
Ga4 0.801 0.801 0.986
Se1 0.094 0.094 0.807
Se2 0.277 0.277 0.823
Se3 0.447 0.447 0.763
Se4 0.553 0.553 0.237
Se5 0.723 0.723 0.177
Se6 0.906 0.906 0.193

Peak list (10 most intense, 2θ = 10–90°, low angle first)
two_theta	d/Å	I/Imax
16.1	5.520	16.4
22.8	3.898	39.4
23.0	3.860	100.0
24.1	3.690	48.0
29.9	2.984	29.1
33.1	2.710	53.8
34.2	2.625	31.4
34.6	2.589	25.1
39.4	2.287	16.1
39.8	2.266	35.3


3.
LiMnNi: simulated X-ray powder pattern (a wavelength of 1.5418 Å), based on a DFT-relaxed cell (GGA-PBE, Alexandria).
Lines closer than 0.1° are merged.

Unit cell a=2.453 b=4.393 c=6.553 alpha=85.48 beta=79.25 gamma=89.99
Element x y z (fractional)
Li1 0.249 0.250 0.000
Li2 0.751 0.750 0.000
Mn1 0.065 0.880 0.370
Mn2 0.935 0.120 0.630
Ni1 0.415 0.614 0.671
Ni2 0.585 0.386 0.329

Peak list (10 most intense, 2θ = 10–90°, low angle first)
two_theta	d/Å	I/Imax
13.8	6.417	100.0
42.2	2.139	17.9
42.5	2.125	17.6
43.1	2.097	32.8
44.8	2.023	14.0
46.7	1.945	10.7
48.3	1.884	17.0
48.4	1.880	13.2
54.8	1.676	15.0
77.9	1.227	7.2


4.
Li2AcPb3: simulated X-ray powder pattern (a wavelength of 1.5418 Å), based on a DFT-relaxed cell (GGA-PBE, Alexandria).
Lines closer than 0.1° are merged.

Unit cell a=5.086 b=5.086 c=15.021 alpha=90.00 beta=90.00 gamma=120.00
Element x y z (fractional)
Li1 0.333 0.667 0.084
Li2 0.333 0.667 0.416
Li3 0.667 0.333 0.584
Li4 0.667 0.333 0.916
Ac1 0.000 0.000 0.250
Ac2 0.000 0.000 0.750
Pb1 0.000 0.000 0.000
Pb2 0.000 0.000 0.500
Pb3 0.333 0.667 0.627
Pb4 0.333 0.667 0.873
Pb5 0.667 0.333 0.127
Pb6 0.667 0.333 0.373

Peak list (10 most intense, 2θ = 10–90°, low angle first)
two_theta	d/Å	I/Imax
20.2	4.405	16.8
21.0	4.227	40.8
27.0	3.307	19.4
31.3	2.858	100.0
35.3	2.543	65.4
36.2	2.482	12.7
47.9	1.900	31.6
60.9	1.522	31.3
61.4	1.511	26.2
83.2	1.162	14.3